Entry 1:
This entry pairs a crystal structure of Tb5Pb4C with its theoretical powder diffraction line list. Radiation: Cu Kα (weighted mean of Kα1 and Kα2). Structure: the PBE geometry in Alexandria.
Kinematic intensities with the Lorentz-polarization factor, no thermal factor.

Cell: 7.4161 7.4161 7.4161 Å, 99.85 99.85 131.15°
Element x y z (fractional)
Tb 0.0000 0.0000 0.0000
Tb 0.3221 0.6615 0.8819
Tb 0.4402 0.3221 0.6605
Tb 0.6615 0.7797 0.3395
Tb 0.7797 0.4402 0.1181
Pb 0.1150 0.3901 0.3962
Pb 0.3901 0.9939 0.2750
Pb 0.7188 0.1150 0.7250
Pb 0.9939 0.7188 0.6038
C 0.6041 0.6041 0.0000

Largest 8 diffraction maxima, in order of rising 2θ, 2θ from 10° to 90°:
Position (°2θ), I (rel.)
29.12, 78
29.58, 86
31.67, 100
36.97, 72
41.99, 66
60.92, 37
64.28, 26
76.50, 22



Entry 2:
This entry pairs a crystal structure of Na2Mg with its theoretical powder diffraction line list. Radiation: Cu Kα (weighted mean of Kα1 and Kα2). Structure: the PBE geometry in Alexandria.
Kinematic intensities with the Lorentz-polarization factor, no thermal factor.

Cell: 3.3883 5.1342 10.6392 Å, 90.00 90.00 90.00°
Element x y z (fractional)
Na 0.0000 0.0000 0.1621
Na 0.0000 0.0000 0.8379
Na 0.5000 0.5000 0.3379
Na 0.5000 0.5000 0.6621
Mg 0.0000 0.0000 0.5000
Mg 0.5000 0.5000 0.0000

Largest 8 diffraction maxima, in order of rising 2θ, 2θ from 10° to 90°:
Position (°2θ), I (rel.)
30.64, 100
31.64, 92
34.95, 35
36.68, 61
51.56, 53
60.02, 13
61.75, 23
63.50, 21



Entry 3:
This entry pairs a crystal structure of Ac3CeGe7 with its theoretical powder diffraction line list. Radiation: Cu Kα (weighted mean of Kα1 and Kα2). Structure: the PBE geometry in Alexandria.
Kinematic intensities with the Lorentz-polarization factor, no thermal factor.

Cell: 10.7606 10.7606 12.2107 Å, 90.00 90.00 155.70°
Element x y z (fractional)
Ac 0.1078 0.8922 0.5515
Ac 0.1078 0.8922 0.9485
Ac 0.2424 0.7576 0.2500
Ac 0.7576 0.2424 0.7500
Ac 0.8922 0.1078 0.0515
Ac 0.8922 0.1078 0.4485
Ce 0.0464 0.9536 0.2500
Ce 0.9536 0.0464 0.7500
Ge 0.2620 0.7380 0.5457
Ge 0.2620 0.7380 0.9543
Ge 0.3685 0.6315 0.6432
Ge 0.3685 0.6315 0.8568
Ge 0.4018 0.5982 0.2500
Ge 0.4971 0.5029 0.6078
Ge 0.4971 0.5029 0.8922
Ge 0.5029 0.4971 0.1078
Ge 0.5029 0.4971 0.3922
Ge 0.5982 0.4018 0.7500
Ge 0.6315 0.3685 0.1432
Ge 0.6315 0.3685 0.3568
Ge 0.7380 0.2620 0.0457
Ge 0.7380 0.2620 0.4543

Largest 8 diffraction maxima, in order of rising 2θ, 2θ from 10° to 90°:
Position (°2θ), I (rel.)
22.31, 17
27.65, 17
29.84, 100
32.54, 40
34.09, 18
39.80, 30
42.38, 23
45.25, 15



Entry 4:
This entry pairs a crystal structure of KLiTc2 with its theoretical powder diffraction line list. Radiation: Cu Kα (weighted mean of Kα1 and Kα2). Structure: the PBE geometry in Alexandria.
Kinematic intensities with the Lorentz-polarization factor, no thermal factor.

Cell: 3.1120 3.1122 8.7535 Å, 90.00 90.12 90.00°
Element x y z (fractional)
K 0.0000 0.0000 0.0000
Li 0.4960 0.5000 0.3517
Tc 0.4971 0.5000 0.6861
Tc 0.9962 0.0000 0.5450

Largest 8 diffraction maxima, in order of rising 2θ, 2θ from 10° to 90°:
Position (°2θ), I (rel.)
10.11, 100
20.29, 16
35.39, 34
41.01, 17
42.37, 16
42.48, 11
51.00, 10
71.08, 8



Entry 5:
This entry pairs a crystal structure of DyZr2Se4 with its theoretical powder diffraction line list. Radiation: Cu Kα (weighted mean of Kα1 and Kα2). Structure: the PBE geometry in Alexandria.
Kinematic intensities with the Lorentz-polarization factor, no thermal factor.

Cell: 6.5574 6.5574 13.8173 Å, 90.00 90.00 146.60°
Element x y z (fractional)
Dy 0.1050 0.8950 0.7500
Dy 0.8950 0.1050 0.2500
Zr 0.3506 0.6494 0.5587
Zr 0.3506 0.6494 0.9413
Zr 0.6494 0.3506 0.0587
Zr 0.6494 0.3506 0.4413
Se 0.0000 0.0000 0.0000
Se 0.0000 0.0000 0.5000
Se 0.2869 0.7131 0.1271
Se 0.2869 0.7131 0.3729
Se 0.4383 0.5617 0.7500
Se 0.5617 0.4383 0.2500
Se 0.7131 0.2869 0.6271
Se 0.7131 0.2869 0.8729

Largest 8 diffraction maxima, in order of rising 2θ, 2θ from 10° to 90°:
Position (°2θ), I (rel.)
23.96, 45
29.51, 59
32.62, 100
34.55, 72
41.14, 73
45.29, 40
47.75, 44
48.30, 42



Entry 6:
This entry pairs a crystal structure of Nd4Sm6Th with its theoretical powder diffraction line list. Radiation: Cu Kα (weighted mean of Kα1 and Kα2). Structure: the PBE geometry in Alexandria.
Kinematic intensities with the Lorentz-polarization factor, no thermal factor.

Cell: 5.7014 5.7014 26.0484 Å, 90.00 90.00 117.12°
Element x y z (fractional)
Nd 0.0527 0.9473 0.6228
Nd 0.0527 0.9473 0.8772
Nd 0.3523 0.6477 0.5435
Nd 0.3523 0.6477 0.9565
Nd 0.6477 0.3523 0.0435
Nd 0.6477 0.3523 0.4565
Nd 0.9473 0.0527 0.1228
Nd 0.9473 0.0527 0.3772
Sm 0.0000 0.0000 0.0000
Sm 0.0000 0.0000 0.5000
Sm 0.0587 0.9413 0.7500
Sm 0.2963 0.7037 0.1030
Sm 0.2963 0.7037 0.3970
Sm 0.3856 0.6144 0.6835
Sm 0.3856 0.6144 0.8165
Sm 0.6144 0.3856 0.1835
Sm 0.6144 0.3856 0.3165
Sm 0.7037 0.2963 0.6030
Sm 0.7037 0.2963 0.8970
Sm 0.9413 0.0587 0.2500
Th 0.2814 0.7186 0.2500
Th 0.7186 0.2814 0.7500

Largest 8 diffraction maxima, in order of rising 2θ, 2θ from 10° to 90°:
Position (°2θ), I (rel.)
29.77, 87
30.05, 100
30.24, 73
31.42, 84
31.61, 90
32.68, 71
43.15, 56
56.47, 22



What did the fifth record say?
This entry pairs a crystal structure of DyZr2Se4 with its theoretical powder diffraction line list. Radiation: Cu Kα (weighted mean of Kα1 and Kα2). Structure: the PBE geometry in Alexandria.
Kinematic intensities with the Lorentz-polarization factor, no thermal factor.

Cell: 6.5574 6.5574 13.8173 Å, 90.00 90.00 146.60°
Element x y z (fractional)
Dy 0.1050 0.8950 0.7500
Dy 0.8950 0.1050 0.2500
Zr 0.3506 0.6494 0.5587
Zr 0.3506 0.6494 0.9413
Zr 0.6494 0.3506 0.0587
Zr 0.6494 0.3506 0.4413
Se 0.0000 0.0000 0.0000
Se 0.0000 0.0000 0.5000
Se 0.2869 0.7131 0.1271
Se 0.2869 0.7131 0.3729
Se 0.4383 0.5617 0.7500
Se 0.5617 0.4383 0.2500
Se 0.7131 0.2869 0.6271
Se 0.7131 0.2869 0.8729

Largest 8 diffraction maxima, in order of rising 2θ, 2θ from 10° to 90°:
Position (°2θ), I (rel.)
23.96, 45
29.51, 59
32.62, 100
34.55, 72
41.14, 73
45.29, 40
47.75, 44
48.30, 42